1.
Cu2SiAuSe4: theoretical powder X-ray diffraction pattern (λ = 1.5418 Å (Cu Kα)), based on a GGA-PBE-relaxed structure.
Peak positions follow from Bragg's law for the DFT cell and can differ from measured ones.

The 10 most intense peaks (5° ≤ 2θ ≤ 70°), by angle:
2θ (°), d/Å, I/Imax, h k l
17.45, 5.083, 22, 1 1 1
27.41, 3.254, 100, 2 0 2
29.20, 3.059, 15, 1 1 3
35.86, 2.504, 18, 1 3 1
44.52, 2.035, 25, 4 0 0
46.02, 1.972, 47, 2 2 4
48.17, 1.889, 6, 3 3 1
53.08, 1.725, 30, 2 4 2
55.69, 1.650, 13, 0 2 6
64.79, 1.439, 8, 4 4 0

Crystal structure
Unit cell a=8.139 b=8.142 c=10.833 alpha=90.00 beta=90.00 gamma=90.00
Space group Fmm2 (No. 42)
Inequivalent atoms, fractional coordinates:
Cu (0.250, 0.250, 0.000) (multiplicity 8)
Si (0.000, 0.000, 0.250) (multiplicity 4)
Au (0.000, 0.000, 0.750) (multiplicity 4)
Se (0.000, 0.229, 0.121) (multiplicity 8)
Se (0.229, 0.000, 0.379) (multiplicity 8)



2.
Cu2SnAuSe4: theoretical powder X-ray diffraction pattern (λ = 1.5418 Å (Cu Kα)), based on a GGA-PBE-relaxed structure.
Peak positions follow from Bragg's law for the DFT cell and can differ from measured ones.

The 10 most intense peaks (5° ≤ 2θ ≤ 70°), by angle:
2θ (°), d/Å, I/Imax, h k l
15.27, 5.803, 4, 0 0 2
17.05, 5.201, 5, 1 0 1
21.60, 4.114, 8, 1 1 0
26.56, 3.356, 100, 1 1 2
34.49, 2.600, 9, 2 0 2
37.95, 2.371, 6, 1 1 4
44.06, 2.055, 72, 2 2 0
52.16, 1.754, 31, 3 1 2
52.26, 1.751, 14, 1 1 6
64.02, 1.454, 8, 4 0 0

Crystal structure
Unit cell a=5.818 b=5.818 c=11.607 alpha=90.00 beta=90.00 gamma=90.00
Space group I-42m (No. 121)
Inequivalent atoms, fractional coordinates:
Cu (0.000, 0.500, 0.250) (multiplicity 4)
Sn (0.000, 0.000, 0.000) (multiplicity 2)
Au (0.000, 0.000, 0.500) (multiplicity 2)
Se (0.248, 0.248, 0.639) (multiplicity 8)



3.
Cu4SiAu: theoretical powder X-ray diffraction pattern (λ = 1.5418 Å (Cu Kα)), based on a GGA-PBE-relaxed structure.
Peak positions follow from Bragg's law for the DFT cell and can differ from measured ones.

The 10 most intense peaks (5° ≤ 2θ ≤ 70°), by angle:
2θ (°), d/Å, I/Imax, h k l
20.62, 4.307, 66, 1 1 0
24.00, 3.707, 36, 1 0 -2
26.89, 3.315, 37, 0 1 2
37.90, 2.374, 35, 3 0 0
41.32, 2.185, 87, 1 2 -2
41.95, 2.154, 81, 2 2 0
42.10, 2.147, 100, 1 2 2
42.69, 2.118, 69, 3 0 -2
43.12, 2.098, 82, 0 0 4
44.92, 2.018, 69, 3 0 2

Crystal structure
Unit cell a=7.133 b=5.408 c=8.405 alpha=90.00 beta=93.23 gamma=90.00
Space group P2_1/c (No. 14)
Inequivalent atoms, fractional coordinates:
Cu (0.044, 0.085, 0.135) (multiplicity 4)
Cu (0.283, 0.744, 0.859) (multiplicity 4)
Cu (0.393, 0.521, 0.616) (multiplicity 4)
Cu (0.408, 0.004, 0.624) (multiplicity 4)
Si (0.094, 0.643, 0.095) (multiplicity 4)
Au (0.263, 0.244, 0.869) (multiplicity 4)



4.
Cu2SiAu: theoretical powder X-ray diffraction pattern (λ = 1.5418 Å (Cu Kα)), based on a GGA-PBE-relaxed structure.
Peak positions follow from Bragg's law for the DFT cell and can differ from measured ones.

The 10 most intense peaks (5° ≤ 2θ ≤ 70°), by angle:
2θ (°), d/Å, I/Imax, h k l
20.99, 4.232, 18, 0 0 3
26.33, 3.384, 91, 1 0 1
29.06, 3.073, 67, 0 1 2
38.22, 2.355, 84, 1 0 4
44.00, 2.058, 85, 0 1 5
44.70, 2.027, 100, 1 1 0
49.88, 1.828, 13, 1 1 3
52.62, 1.739, 14, 0 2 1
60.23, 1.536, 22, 0 2 4
64.53, 1.444, 26, 2 0 5

Crystal structure
Unit cell a=4.0547 b=4.0547 c=12.6974 alpha=90.00 beta=90.00 gamma=120.00
Space group R3m (No. 160, hexagonal axes)
Inequivalent atoms, fractional coordinates:
Cu (0.0000, 0.0000, 0.0000) (multiplicity 3)
Cu (0.0000, 0.0000, 0.2232) (multiplicity 3)
Si (0.0000, 0.0000, 0.6327) (multiplicity 3)
Au (0.0000, 0.0000, 0.4386) (multiplicity 3)



Copy entry 2 word for word.
Cu2SnAuSe4: theoretical powder X-ray diffraction pattern (λ = 1.5418 Å (Cu Kα)), based on a GGA-PBE-relaxed structure.
Peak positions follow from Bragg's law for the DFT cell and can differ from measured ones.

The 10 most intense peaks (5° ≤ 2θ ≤ 70°), by angle:
2θ (°), d/Å, I/Imax, h k l
15.27, 5.803, 4, 0 0 2
17.05, 5.201, 5, 1 0 1
21.60, 4.114, 8, 1 1 0
26.56, 3.356, 100, 1 1 2
34.49, 2.600, 9, 2 0 2
37.95, 2.371, 6, 1 1 4
44.06, 2.055, 72, 2 2 0
52.16, 1.754, 31, 3 1 2
52.26, 1.751, 14, 1 1 6
64.02, 1.454, 8, 4 0 0

Crystal structure
Unit cell a=5.818 b=5.818 c=11.607 alpha=90.00 beta=90.00 gamma=90.00
Space group I-42m (No. 121)
Inequivalent atoms, fractional coordinates:
Cu (0.000, 0.500, 0.250) (multiplicity 4)
Sn (0.000, 0.000, 0.000) (multiplicity 2)
Au (0.000, 0.000, 0.500) (multiplicity 2)
Se (0.248, 0.248, 0.639) (multiplicity 8)